Theoretical powder diffraction line list of GdScAgPd for copper Kα, from DFT lattice parameters and positions (GGA-PBE).
Kinematic intensities with the Lorentz-polarization factor, no thermal factor.

Principal peaks in the range 10 to 90 degrees two-theta, low angle first:
- hkl 1 1 1, 2θ = 22.01°, rel. 16
- hkl 2 2 0, 2θ = 36.32°, rel. 100
- hkl 3 1 1, 2θ = 42.87°, rel. 9
- hkl 4 0 0, 2θ = 52.30°, rel. 17
- hkl 3 3 1, 2θ = 57.41°, rel. 4
- hkl 4 2 2, 2θ = 65.34°, rel. 34
- hkl 5 1 1, 2θ = 69.86°, rel. 3
- hkl 4 4 0, 2θ = 77.12°, rel. 11
- hkl 5 3 1, 2θ = 81.37°, rel. 3
- hkl 6 2 0, 2θ = 88.36°, rel. 15

Structural model:
```
GdScAgPd
1.0
6.9963 0.0000 0.0000
0.0000 6.9963 0.0000
0.0000 0.0000 6.9963
Gd Sc Ag Pd
4 4 4 4
direct
0.0000 0.0000 0.0000 Gd
0.0000 0.5000 0.5000 Gd
0.5000 0.0000 0.5000 Gd
0.5000 0.5000 0.0000 Gd
0.0000 0.0000 0.5000 Sc
0.0000 0.5000 0.0000 Sc
0.5000 0.0000 0.0000 Sc
0.5000 0.5000 0.5000 Sc
0.2500 0.2500 0.7500 Ag
0.2500 0.7500 0.2500 Ag
0.7500 0.2500 0.2500 Ag
0.7500 0.7500 0.7500 Ag
0.2500 0.2500 0.2500 Pd
0.2500 0.7500 0.7500 Pd
0.7500 0.2500 0.7500 Pd
0.7500 0.7500 0.2500 Pd
```